The following is a computed X-ray diffraction stick pattern of Rb2HfAs2. It was derived from a crystal structure in Alexandria, relaxed with PBE, using Cu Kα, 1.54184 Å.

Structure:
Lattice parameters (Å, degrees): 4.2505 4.2505 47.6458 90.00 90.00 90.00
Space group I4_1/amd (No. 141, origin choice 2)
One atom of each set of equivalent atoms:
1 Rb 0.0000 0.2500 0.0561 [8 per cell]
2 Hf 0.0000 0.2500 0.3750 [4 per cell]
3 As 0.0000 0.2500 0.1573 [8 per cell]

Top 12 peaks for 2θ = 5–70°, sorted by position:
Position (°2θ)  d/Å  Rel. int.  h k l
7.42  11.911  100  0 0 4
21.64  4.106  19  1 0 3
22.91  3.882  7  1 0 5
26.90  3.314  35  1 0 9
31.84  2.811  16  1 1 6
32.25  2.776  14  1 0 13
35.30  2.542  20  1 1 10
41.82  2.160  10  1 0 19
42.54  2.125  13  2 0 0
45.67  1.986  8  1 1 18
51.05  1.789  12  2 1 9
52.05  1.757  8  1 1 22

=====

The following is a computed X-ray diffraction stick pattern of Hf4As3S. It was derived from a crystal structure in Alexandria, relaxed with PBE, using Cu Kα, 1.54184 Å.

Structure:
Lattice parameters (Å, degrees): 3.8014 3.8014 36.9556 90.00 90.00 120.00
Space group R-3m (No. 166, hexagonal axes)
One atom of each set of equivalent atoms:
1 Hf 0.0000 0.0000 0.1261 [6 per cell]
2 Hf 0.0000 0.0000 0.3691 [6 per cell]
3 As 0.0000 0.0000 0.2523 [6 per cell]
4 As 0.0000 0.0000 0.5000 [3 per cell]
5 S 0.0000 0.0000 0.0000 [3 per cell]

Top 12 peaks for 2θ = 5–70°, sorted by position:
Position (°2θ)  d/Å  Rel. int.  h k l
28.79  3.101  30  1 0 4
28.99  3.080  9  0 0 12
33.42  2.681  100  0 1 8
36.55  2.458  4  1 0 10
47.86  1.901  38  1 1 0
48.12  1.891  32  1 0 16
56.81  1.621  5  0 2 4
56.93  1.617  8  1 1 12
57.17  1.611  3  0 1 20
59.63  1.551  19  2 0 8
60.09  1.540  5  0 0 24
67.11  1.395  3  1 1 18

=====

The following is a computed X-ray diffraction stick pattern of Hf3SbAs. It was derived from a crystal structure in Alexandria, relaxed with PBE, using Cu Kα, 1.54184 Å.

Structure:
Lattice parameters (Å, degrees): 10.5892 15.5531 5.3412 90.00 90.00 90.00
Space group Cmce (No. 64)
One atom of each set of equivalent atoms:
1 Hf 0.0000 0.1918 0.2207 [8 per cell]
2 Hf 0.1651 0.0000 0.0000 [8 per cell]
3 Hf 0.2500 0.1855 0.7500 [8 per cell]
4 Sb 0.0000 0.1080 0.7136 [8 per cell]
5 As 0.2500 0.1373 0.2500 [8 per cell]

Top 12 peaks for 2θ = 5–70°, sorted by position:
Position (°2θ)  d/Å  Rel. int.  h k l
30.91  2.893  30  3 1 1
33.14  2.703  100  2 4 1
33.56  2.671  21  0 0 2
33.86  2.647  35  4 0 0
34.60  2.592  22  0 6 0
35.06  2.559  28  3 3 1
35.54  2.526  50  0 2 2
35.83  2.506  32  4 2 0
41.00  2.201  23  0 4 2
42.34  2.135  70  2 6 1
48.41  1.880  48  4 0 2
66.03  1.415  26  2 6 3

=====

The following is a computed X-ray diffraction stick pattern of Hf12Sb5As2. It was derived from a crystal structure in Alexandria, relaxed with PBE, using Cu Kα, 1.54184 Å.

Structure:
Lattice parameters (Å, degrees): 16.2036 7.0251 8.3709 90.00 104.95 90.00
Space group C2/m (No. 12)
One atom of each set of equivalent atoms:
1 Hf 0.0030 0.0000 0.1799 [4 per cell]
2 Hf 0.0097 0.5000 0.2874 [4 per cell]
3 Hf 0.1348 0.2671 0.5582 [8 per cell]
4 Hf 0.1589 0.2235 0.0984 [8 per cell]
5 Sb 0.0000 0.0000 0.5000 [2 per cell]
6 Sb 0.1880 0.5000 0.8563 [4 per cell]
7 Sb 0.2200 0.5000 0.3602 [4 per cell]
8 As 0.0000 0.3067 0.0000 [4 per cell]

Top 12 peaks for 2θ = 5–70°, sorted by position:
Position (°2θ)  d/Å  Rel. int.  h k l
24.76  3.596  19  1 1 -2
27.31  3.265  47  4 0 -2
27.84  3.205  13  2 2 0
33.81  2.652  83  2 2 -2
34.33  2.613  100  4 2 0
37.59  2.393  37  4 2 -2
43.23  2.093  23  2 0 -4
44.37  2.042  16  4 2 2
46.01  1.972  12  8 0 -2
52.07  1.756  17  0 4 0
53.26  1.720  18  8 2 -2
56.33  1.633  24  6 2 -4